Calculated powder diffractogram
Compound: CuSnH12N2O6
Radiation: Cu Kα (λ = 1.5418 Å)
Structure: a DFT-relaxed cell (PBE, Alexandria)
Lines closer than 0.1° are merged.

Structural model:
Cell lengths 4.9191, 5.5642, 6.9096 Å; angles 108.22, 93.85, 93.03 degrees
Space group P-1 (No. 2)
Asymmetric unit:
Cu: 0.0000 0.0000 0.0000 [1 per cell]
Sn: 0.0000 0.0000 0.5000 [1 per cell]
H: 0.1897 0.4744 0.1320 [2 per cell]
H: 0.2424 0.6450 0.6146 [2 per cell]
H: 0.2852 0.3247 0.9019 [2 per cell]
H: 0.3850 0.9986 0.2629 [2 per cell]
H: 0.4241 0.2929 0.5608 [2 per cell]
H: 0.4437 0.2912 0.1132 [2 per cell]
N: 0.2573 0.3064 0.0444 [2 per cell]
O: 0.2002 0.9053 0.2231 [2 per cell]
O: 0.2502 0.3331 0.6242 [2 per cell]
O: 0.2986 0.8239 0.6246 [2 per cell]

Most intense lines, 2θ from 5° to 70°, by angle:
d = 5.269 Å, 16.8 deg, I = 100
d = 4.893 Å, 18.1 deg, I = 67
d = 3.733 Å, 23.8 deg, I = 46
d = 3.455 Å, 25.8 deg, I = 32
d = 3.283 Å, 27.2 deg, I = 19
d = 3.269 Å, 27.3 deg, I = 26
d = 2.836 Å, 31.5 deg, I = 41
d = 2.677 Å, 33.5 deg, I = 25
d = 2.288 Å, 39.4 deg, I = 25
d = 2.248 Å, 40.1 deg, I = 26